This entry pairs a crystal structure of Gd3Ga2 with its calculated powder X-ray diffraction pattern. Radiation: CuKα. Structure: a GGA-PBE-relaxed structure.
No peak broadening, texture or thermal motion is included.

Peak list (10 most intense, 2θ = 10–90°, by angle)
- d = 2.791 Å, intensity 100
- d = 2.762 Å, intensity 29
- d = 2.728 Å, intensity 39
- d = 2.639 Å, intensity 95
- d = 2.620 Å, intensity 24
- d = 2.609 Å, intensity 19
- d = 2.473 Å, intensity 28
- d = 1.714 Å, intensity 17
- d = 1.657 Å, intensity 17
- d = 1.517 Å, intensity 18

Cell and atoms:
```
data_Gd3Ga2
_chemical_formula_sum 'Gd24 Ga16'
_cell_length_a 11.190
_cell_length_b 11.190
_cell_length_c 11.190
_cell_angle_alpha 116.85
_cell_angle_beta 116.85
_cell_angle_gamma 95.55
_space_group_name_H-M_alt 'P 1'
_space_group_IT_number 1
loop_
_space_group_symop_operation_xyz
'x,y,z'
loop_
_atom_site_label
_atom_site_fract_x
_atom_site_fract_y
_atom_site_fract_z
Gd1 0.067 0.336 0.134
Gd2 0.067 0.933 0.269
Gd3 0.148 0.648 0.500
Gd4 0.164 0.433 0.866
Gd5 0.168 0.332 0.500
Gd6 0.202 0.933 0.866
Gd7 0.298 0.164 0.731
Gd8 0.332 0.832 0.164
Gd9 0.336 0.202 0.269
Gd10 0.352 0.852 0.500
Gd11 0.433 0.567 0.269
Gd12 0.433 0.702 0.866
Gd13 0.567 0.298 0.134
Gd14 0.567 0.433 0.731
Gd15 0.648 0.148 0.500
Gd16 0.664 0.798 0.731
Gd17 0.668 0.168 0.836
Gd18 0.702 0.836 0.269
Gd19 0.798 0.067 0.134
Gd20 0.832 0.668 0.500
Gd21 0.836 0.567 0.134
Gd22 0.852 0.352 0.500
Gd23 0.933 0.067 0.731
Gd24 0.933 0.664 0.866
Ga1 0.000 0.000 0.000
Ga2 0.024 0.880 0.500
Ga3 0.116 0.616 0.733
Ga4 0.120 0.620 0.144
Ga5 0.250 0.250 0.000
Ga6 0.380 0.524 0.500
Ga7 0.384 0.116 0.500
Ga8 0.476 0.976 0.856
Ga9 0.500 0.500 0.000
Ga10 0.524 0.024 0.144
Ga11 0.616 0.884 0.500
Ga12 0.620 0.476 0.500
Ga13 0.750 0.750 0.000
Ga14 0.880 0.380 0.856
Ga15 0.884 0.384 0.267
Ga16 0.976 0.120 0.500
```